Entry 1:
The following is a theoretical XRD peak list of Ni6MoPd12. It was derived from DFT lattice parameters and positions (GGA-PBE), using Cu Kα X-rays.

Largest 8 diffraction maxima, in order of falling intensity, 2θ from 15° to 90°:
| two_theta | I_rel |
| --- | --- |
| 40.9 | 100.0 |
| 37.8 | 40.3 |
| 43.9 | 25.2 |
| 46.7 | 20.7 |
| 70.3 | 20.4 |
| 49.4 | 18.3 |
| 66.0 | 14.9 |
| 82.7 | 10.7 |

Cell and atoms:
Lattice parameters (Å, degrees): 7.1479 7.1479 7.1479 109.47 109.47 109.47
Element x y z (fractional)
Ni 0.1358 0.5000 0.6358
Ni 0.3642 0.8642 0.5000
Ni 0.5000 0.3642 0.8642
Ni 0.5000 0.6358 0.1358
Ni 0.6358 0.1358 0.5000
Ni 0.8642 0.5000 0.3642
Mo 0.0000 0.0000 0.0000
Pd 0.0895 0.2704 0.8191
Pd 0.1809 0.4513 0.2704
Pd 0.1809 0.9105 0.7296
Pd 0.2704 0.1809 0.4513
Pd 0.2704 0.8191 0.0895
Pd 0.4513 0.2704 0.1809
Pd 0.5487 0.7296 0.8191
Pd 0.7296 0.1809 0.9105
Pd 0.7296 0.8191 0.5487
Pd 0.8191 0.0895 0.2704
Pd 0.8191 0.5487 0.7296
Pd 0.9105 0.7296 0.1809

***

Entry 2:
The following is a theoretical XRD peak list of Na4Tm3AlSe8. It was derived from DFT lattice parameters and positions (GGA-PBE), using Cu Kα X-rays.

Largest 8 diffraction maxima, in order of falling intensity, 2θ from 15° to 90°:
| two_theta | I_rel |
| --- | --- |
| 30.8 | 100.0 |
| 43.1 | 35.7 |
| 45.0 | 35.7 |
| 55.5 | 17.9 |
| 39.6 | 15.7 |
| 25.9 | 15.4 |
| 74.1 | 14.5 |
| 71.4 | 13.5 |

Cell and atoms:
Lattice parameters (Å, degrees): 8.4051 8.4051 8.4051 57.28 57.28 57.28
Element x y z (fractional)
Na 0.0000 0.0000 0.0000
Na 0.0000 0.5000 0.5000
Na 0.5000 0.0000 0.5000
Na 0.5000 0.5000 0.0000
Tm 0.0000 0.0000 0.5000
Tm 0.0000 0.5000 0.0000
Tm 0.5000 0.0000 0.0000
Al 0.5000 0.5000 0.5000
Se 0.2428 0.2428 0.2428
Se 0.2584 0.7299 0.7299
Se 0.2701 0.2701 0.7416
Se 0.2701 0.7416 0.2701
Se 0.7299 0.2584 0.7299
Se 0.7299 0.7299 0.2584
Se 0.7416 0.2701 0.2701
Se 0.7572 0.7572 0.7572

***

Entry 3:
The following is a theoretical XRD peak list of Sc3ZnPt3. It was derived from DFT lattice parameters and positions (GGA-PBE), using Cu Kα X-rays.

Largest 8 diffraction maxima, in order of falling intensity, 2θ from 15° to 90°:
| two_theta | I_rel |
| --- | --- |
| 41.0 | 100.0 |
| 24.5 | 61.9 |
| 36.3 | 54.2 |
| 27.4 | 43.8 |
| 22.7 | 40.7 |
| 44.1 | 33.6 |
| 23.5 | 23.7 |
| 41.4 | 22.7 |

Cell and atoms:
Lattice parameters (Å, degrees): 5.2988 5.2988 13.0823 90.00 90.00 134.43
Element x y z (fractional)
Sc 0.0409 0.9591 0.7500
Sc 0.3100 0.6900 0.6084
Sc 0.3100 0.6900 0.8916
Sc 0.6900 0.3100 0.1084
Sc 0.6900 0.3100 0.3916
Sc 0.9591 0.0409 0.2500
Zn 0.0000 0.0000 0.0000
Zn 0.0000 0.0000 0.5000
Pt 0.2276 0.7724 0.2500
Pt 0.4019 0.5981 0.0908
Pt 0.4019 0.5981 0.4092
Pt 0.5981 0.4019 0.5908
Pt 0.5981 0.4019 0.9092
Pt 0.7724 0.2276 0.7500

***

Entry 4:
The following is a theoretical XRD peak list of Rb2PbS2O6. It was derived from DFT lattice parameters and positions (GGA-PBE), using Cu Kα X-rays.

Largest 8 diffraction maxima, in order of falling intensity, 2θ from 15° to 90°:
| two_theta | I_rel |
| --- | --- |
| 27.7 | 100.0 |
| 30.6 | 63.5 |
| 18.1 | 38.1 |
| 41.8 | 28.9 |
| 52.7 | 25.2 |
| 47.1 | 21.6 |
| 24.5 | 18.7 |
| 40.3 | 17.6 |

Cell and atoms:
Lattice parameters (Å, degrees): 7.7341 7.7341 7.7341 44.33 44.33 44.33
Element x y z (fractional)
Rb 0.2050 0.2050 0.2050
Rb 0.7950 0.7950 0.7950
Pb 0.0000 0.0000 0.0000
S 0.3858 0.3858 0.3858
S 0.6142 0.6142 0.6142
O 0.2747 0.2747 0.6965
O 0.2747 0.6965 0.2747
O 0.3035 0.7253 0.7253
O 0.6965 0.2747 0.2747
O 0.7253 0.3035 0.7253
O 0.7253 0.7253 0.3035

***

Entry 5:
The following is a theoretical XRD peak list of TmZn5Cu7. It was derived from DFT lattice parameters and positions (GGA-PBE), using Cu Kα X-rays.

Largest 8 diffraction maxima, in order of falling intensity, 2θ from 15° to 90°:
| two_theta | I_rel |
| --- | --- |
| 41.9 | 100.0 |
| 42.0 | 99.3 |
| 42.1 | 92.6 |
| 36.1 | 62.3 |
| 47.3 | 44.9 |
| 29.3 | 38.9 |
| 69.1 | 27.0 |
| 76.6 | 26.2 |

Cell and atoms:
Lattice parameters (Å, degrees): 6.5805 6.5805 6.5805 135.79 98.02 98.26
Element x y z (fractional)
Tm 0.0000 0.0000 0.0000
Zn 0.4886 0.4928 0.4974
Zn 0.4886 0.9912 0.9958
Zn 0.7759 0.2759 0.5000
Zn 0.9953 0.4928 0.0042
Zn 0.9953 0.9912 0.5026
Cu 0.2094 0.7094 0.5000
Cu 0.2102 0.4921 0.7181
Cu 0.3450 0.9913 0.3537
Cu 0.3503 0.3503 0.0000
Cu 0.6376 0.9913 0.6463
Cu 0.6419 0.6419 0.0000
Cu 0.7740 0.4921 0.2819

***

Entry 6:
The following is a theoretical XRD peak list of ScTeF2. It was derived from DFT lattice parameters and positions (GGA-PBE), using Cu Kα X-rays.

Largest 8 diffraction maxima, in order of falling intensity, 2θ from 15° to 90°:
| two_theta | I_rel |
| --- | --- |
| 27.6 | 100.0 |
| 31.2 | 36.2 |
| 53.4 | 30.4 |
| 46.5 | 23.2 |
| 36.1 | 19.7 |
| 57.1 | 17.9 |
| 29.5 | 16.9 |
| 56.5 | 12.8 |

Cell and atoms:
Lattice parameters (Å, degrees): 5.7273 5.7273 10.6789 90.00 90.00 90.00
Element x y z (fractional)
Sc 0.0000 0.2500 0.3750
Sc 0.0000 0.7500 0.6250
Sc 0.5000 0.2500 0.1250
Sc 0.5000 0.7500 0.8750
Te 0.0000 0.2500 0.8750
Te 0.0000 0.7500 0.1250
Te 0.5000 0.2500 0.6250
Te 0.5000 0.7500 0.3750
F 0.0000 0.0000 0.5000
F 0.0000 0.5000 0.5000
F 0.2500 0.2500 0.2500
F 0.2500 0.7500 0.7500
F 0.5000 0.0000 0.0000
F 0.5000 0.5000 0.0000
F 0.7500 0.2500 0.2500
F 0.7500 0.7500 0.7500

***

Entry 7:
The following is a theoretical XRD peak list of CsCuIF6. It was derived from DFT lattice parameters and positions (GGA-PBE), using Cu Kα X-rays.

Largest 8 diffraction maxima, in order of falling intensity, 2θ from 15° to 90°:
| two_theta | I_rel |
| --- | --- |
| 23.2 | 100.0 |
| 22.5 | 75.7 |
| 26.1 | 71.2 |
| 23.4 | 38.1 |
| 21.5 | 34.5 |
| 30.8 | 30.7 |
| 27.9 | 25.0 |
| 16.3 | 24.4 |

Cell and atoms:
Lattice parameters (Å, degrees): 5.4599 5.8161 6.5149 67.50 87.02 88.91
Element x y z (fractional)
Cs 0.0000 0.0000 0.0000
Cu 0.4047 0.3598 0.2634
I 0.4913 0.6238 0.6205
F 0.1558 0.4462 0.0674
F 0.2584 0.6107 0.3778
F 0.2670 0.8927 0.6185
F 0.5324 0.1159 0.1730
F 0.6390 0.3358 0.4949
F 0.6661 0.6693 0.8656

***

Entry 8:
The following is a theoretical XRD peak list of Ag2BiAu. It was derived from DFT lattice parameters and positions (GGA-PBE), using Cu Kα X-rays.

Largest 8 diffraction maxima, in order of falling intensity, 2θ from 15° to 90°:
| two_theta | I_rel |
| --- | --- |
| 37.9 | 100.0 |
| 33.8 | 74.5 |
| 33.9 | 69.1 |
| 40.0 | 55.6 |
| 36.9 | 45.4 |
| 37.2 | 42.0 |
| 33.6 | 31.9 |
| 19.7 | 31.3 |

Cell and atoms:
Lattice parameters (Å, degrees): 3.4239 9.0066 5.8300 90.00 106.57 90.00
Element x y z (fractional)
Ag 0.1379 0.0232 0.2700
Ag 0.1379 0.4768 0.2700
Ag 0.8621 0.5232 0.7300
Ag 0.8621 0.9768 0.7300
Bi 0.4609 0.2500 0.9301
Bi 0.5391 0.7500 0.0699
Au 0.2648 0.7500 0.5342
Au 0.7352 0.2500 0.4658